Record 1
Simulated PXRD pattern
Compound: CoSb6Rh
Radiation: Cu Kα
Structure: DFT lattice parameters and positions (PBE)

Cell and atoms:
a b c (Å): 7.982 7.982 9.244
angles (deg): 125.01 125.01 70.76
Fractional positions:
Co (0.000, 0.500, 0.000)
Co (0.500, 0.000, 0.000)
Sb (0.006, 0.320, 0.158)
Sb (0.157, 0.830, 0.336)
Sb (0.170, 0.843, 0.664)
Sb (0.320, 0.006, 0.158)
Sb (0.341, 0.341, 0.008)
Sb (0.345, 0.345, 0.687)
Sb (0.655, 0.655, 0.313)
Sb (0.659, 0.659, 0.992)
Sb (0.680, 0.994, 0.842)
Sb (0.830, 0.157, 0.336)
Sb (0.843, 0.170, 0.664)
Sb (0.994, 0.680, 0.842)
Rh (0.000, 0.500, 0.500)
Rh (0.500, 0.000, 0.500)

Principal peaks in the range 2θ = 15–90°, by angle:
| two_theta | d/Å | intensity |
| --- | --- | --- |
| 19.2 | 4.622 | 13 |
| 30.6 | 2.925 | 100 |
| 30.6 | 2.918 | 33 |
| 36.3 | 2.477 | 20 |
| 36.4 | 2.470 | 16 |
| 36.5 | 2.463 | 13 |
| 43.8 | 2.067 | 28 |
| 48.1 | 1.892 | 14 |
| 48.4 | 1.882 | 15 |
| 50.3 | 1.815 | 10 |
| 50.4 | 1.811 | 12 |
| 58.2 | 1.585 | 10 |

---

Record 2
Simulated PXRD pattern
Compound: Sc4CoRh
Radiation: Cu Kα
Structure: DFT lattice parameters and positions (PBE)

Cell and atoms:
a b c (Å): 7.289 7.289 5.617
angles (deg): 107.22 107.22 111.38
Fractional positions:
Sc (0.052, 0.698, 0.905)
Sc (0.234, 0.361, 0.714)
Sc (0.302, 0.948, 0.595)
Sc (0.361, 0.234, 0.214)
Sc (0.639, 0.766, 0.786)
Sc (0.698, 0.052, 0.405)
Sc (0.766, 0.639, 0.286)
Sc (0.948, 0.302, 0.095)
Co (0.000, 0.000, 0.250)
Co (0.000, 0.000, 0.750)
Rh (0.361, 0.639, 0.250)
Rh (0.639, 0.361, 0.750)

Principal peaks in the range 2θ = 15–90°, by angle:
| two_theta | d/Å | intensity |
| --- | --- | --- |
| 17.7 | 5.019 | 84 |
| 23.8 | 3.743 | 44 |
| 25.6 | 3.481 | 37 |
| 26.8 | 3.328 | 39 |
| 33.6 | 2.668 | 100 |
| 35.2 | 2.547 | 71 |
| 37.6 | 2.390 | 46 |
| 39.6 | 2.277 | 44 |
| 39.8 | 2.265 | 97 |
| 42.0 | 2.151 | 71 |
| 43.7 | 2.073 | 62 |
| 45.0 | 2.015 | 67 |

---

Record 3
Simulated PXRD pattern
Compound: YScCo2Rh
Radiation: Cu Kα
Structure: DFT lattice parameters and positions (PBE)

Cell and atoms:
a b c (Å): 4.746 4.746 4.599
angles (deg): 90.00 90.00 90.00
Fractional positions:
Y (0.000, 0.000, 0.000)
Sc (0.500, 0.500, 0.000)
Co (0.000, 0.500, 0.500)
Co (0.500, 0.000, 0.500)
Rh (0.500, 0.500, 0.500)

Principal peaks in the range 2θ = 15–90°, by angle:
| two_theta | d/Å | intensity |
| --- | --- | --- |
| 18.7 | 4.746 | 17 |
| 19.3 | 4.599 | 19 |
| 26.6 | 3.356 | 27 |
| 27.0 | 3.303 | 86 |
| 33.0 | 2.711 | 53 |
| 37.9 | 2.373 | 100 |
| 39.2 | 2.300 | 45 |
| 47.2 | 1.927 | 37 |
| 54.7 | 1.678 | 33 |
| 55.7 | 1.651 | 62 |
| 65.4 | 1.427 | 12 |
| 69.3 | 1.356 | 31 |

---

Record 4
Simulated PXRD pattern
Compound: CoRhSe4
Radiation: Cu Kα
Structure: DFT lattice parameters and positions (PBE)

Cell and atoms:
a b c (Å): 5.967 5.971 5.969
angles (deg): 90.00 90.12 90.00
Fractional positions:
Co (0.000, 0.000, 0.000)
Co (0.000, 0.500, 0.500)
Rh (0.500, 0.000, 0.500)
Rh (0.500, 0.500, 0.000)
Se (0.116, 0.129, 0.629)
Se (0.116, 0.371, 0.129)
Se (0.368, 0.618, 0.619)
Se (0.368, 0.882, 0.119)
Se (0.632, 0.118, 0.881)
Se (0.632, 0.382, 0.381)
Se (0.884, 0.629, 0.871)
Se (0.884, 0.871, 0.371)

Principal peaks in the range 2θ = 15–90°, by angle:
| two_theta | d/Å | intensity |
| --- | --- | --- |
| 29.9 | 2.985 | 39 |
| 33.6 | 2.669 | 100 |
| 36.9 | 2.437 | 79 |
| 42.9 | 2.110 | 27 |
| 50.7 | 1.800 | 91 |
| 55.5 | 1.656 | 19 |
| 57.8 | 1.596 | 34 |
| 70.5 | 1.335 | 10 |
| 72.5 | 1.303 | 15 |
| 84.3 | 1.149 | 17 |
| 84.4 | 1.148 | 10 |
| 88.1 | 1.109 | 12 |